Theoretical powder X-ray diffraction pattern
Compound: PuTl3Pb6
Radiation: Cu Kα (weighted mean of Kα1 and Kα2)
Structure: a crystal structure in Alexandria, relaxed with PBE

Crystal structure
Cell lengths 6.503, 6.503, 8.953 Å; angles 90.00, 90.00, 120.00 degrees
Fractional coordinates of all 10 atoms:
Pu: 0.000 0.000 0.000
Tl: 0.000 0.000 0.500
Tl: 0.333 0.667 0.500
Tl: 0.667 0.333 0.500
Pb: 0.000 0.455 0.819
Pb: 0.000 0.545 0.181
Pb: 0.455 0.000 0.819
Pb: 0.455 0.455 0.181
Pb: 0.545 0.000 0.181
Pb: 0.545 0.545 0.819

Peak list (10 most intense, 5° ≤ 2θ ≤ 70°, in order of rising 2θ)
- (1 0 2), 2θ = 25.42°, intensity 28
- (2 -1 1), 2θ = 29.22°, intensity 40
- (0 0 3), 2θ = 29.94°, intensity 32
- (2 0 0), 2θ = 31.78°, intensity 62
- (2 0 1), 2θ = 33.36°, intensity 30
- (1 1 2), 2θ = 34.06°, intensity 100
- (2 0 3), 2θ = 44.22°, intensity 20
- (2 -1 4), 2θ = 49.44°, intensity 21
- (3 0 2), 2θ = 52.86°, intensity 25
- (2 2 0), 2θ = 56.62°, intensity 20



Theoretical powder X-ray diffraction pattern
Compound: Pu3TlPb2
Radiation: Cu Kα (weighted mean of Kα1 and Kα2)
Structure: a crystal structure in Alexandria, relaxed with PBE

Crystal structure
Cell lengths 4.125, 4.125, 9.857 Å; angles 90.00, 90.00, 90.00 degrees
Fractional coordinates of all 6 atoms:
Pu: 0.000 0.000 0.000
Pu: 0.000 0.000 0.328
Pu: 0.000 0.000 0.672
Tl: 0.500 0.500 0.500
Pb: 0.500 0.500 0.165
Pb: 0.500 0.500 0.835

Peak list (8 most intense, 5° ≤ 2θ ≤ 70°, in order of rising 2θ)
- (1 0 0), 2θ = 21.55°, intensity 1
- (1 1 0), 2θ = 30.65°, intensity 70
- (1 0 3), 2θ = 34.91°, intensity 100
- (2 0 0), 2θ = 43.90°, intensity 27
- (0 0 6), 2θ = 55.98°, intensity 7
- (2 1 3), 2θ = 57.28°, intensity 50
- (2 2 0), 2θ = 63.83°, intensity 9
- (1 1 6), 2θ = 65.18°, intensity 17



Theoretical powder X-ray diffraction pattern
Compound: Tm2PuPb9
Radiation: Cu Kα (weighted mean of Kα1 and Kα2)
Structure: a crystal structure in Alexandria, relaxed with PBE

Crystal structure
Cell lengths 4.862, 4.862, 14.567 Å; angles 90.00, 90.00, 90.00 degrees
Fractional coordinates of all 12 atoms:
Tm: 0.000 0.000 0.171
Tm: 0.000 0.000 0.829
Pu: 0.000 0.000 0.500
Pb: 0.000 0.500 0.000
Pb: 0.000 0.500 0.333
Pb: 0.000 0.500 0.667
Pb: 0.500 0.000 0.000
Pb: 0.500 0.000 0.333
Pb: 0.500 0.000 0.667
Pb: 0.500 0.500 0.166
Pb: 0.500 0.500 0.500
Pb: 0.500 0.500 0.834

Peak list (6 most intense, 5° ≤ 2θ ≤ 70°, in order of rising 2θ)
- (0 0 1), 2θ = 6.07°, intensity 1
- (1 1 3), 2θ = 31.89°, intensity 100
- (2 0 0), 2θ = 36.99°, intensity 51
- (2 2 0), 2θ = 53.31°, intensity 36
- (3 1 3), 2θ = 63.48°, intensity 43
- (2 2 6), 2θ = 66.66°, intensity 13



Theoretical powder X-ray diffraction pattern
Compound: PuVPb2
Radiation: Cu Kα (weighted mean of Kα1 and Kα2)
Structure: a crystal structure in Alexandria, relaxed with PBE

Crystal structure
Cell lengths 3.332, 3.332, 34.174 Å; angles 90.00, 90.00, 120.00 degrees
Fractional coordinates of all 12 atoms:
Pu: 0.000 0.000 0.000
Pu: 0.333 0.667 0.667
Pu: 0.667 0.333 0.333
V: 0.000 0.000 0.500
V: 0.333 0.667 0.167
V: 0.667 0.333 0.833
Pb: 0.000 0.000 0.417
Pb: 0.000 0.000 0.583
Pb: 0.333 0.667 0.084
Pb: 0.333 0.667 0.249
Pb: 0.667 0.333 0.751
Pb: 0.667 0.333 0.916

Peak list (10 most intense, 5° ≤ 2θ ≤ 70°, in order of rising 2θ)
- (0 0 3), 2θ = 7.76°, intensity 57
- (0 0 12), 2θ = 31.43°, intensity 100
- (0 1 5), 2θ = 33.72°, intensity 59
- (1 0 7), 2θ = 36.16°, intensity 51
- (1 0 10), 2θ = 40.94°, intensity 28
- (0 1 14), 2θ = 48.87°, intensity 19
- (1 1 0), 2θ = 55.14°, intensity 25
- (0 1 17), 2θ = 55.74°, intensity 18
- (1 0 19), 2θ = 60.68°, intensity 16
- (1 1 12), 2θ = 64.85°, intensity 39



Theoretical powder X-ray diffraction pattern
Compound: PuZrPb2
Radiation: Cu Kα (weighted mean of Kα1 and Kα2)
Structure: a crystal structure in Alexandria, relaxed with PBE

Crystal structure
Cell lengths 7.490, 7.490, 7.490 Å; angles 90.00, 90.00, 90.00 degrees
Fractional coordinates of all 16 atoms:
Pu: 0.000 0.000 0.000
Pu: 0.000 0.500 0.500
Pu: 0.500 0.000 0.500
Pu: 0.500 0.500 0.000
Zr: 0.000 0.000 0.500
Zr: 0.000 0.500 0.000
Zr: 0.500 0.000 0.000
Zr: 0.500 0.500 0.500
Pb: 0.250 0.250 0.250
Pb: 0.250 0.250 0.750
Pb: 0.250 0.750 0.250
Pb: 0.250 0.750 0.750
Pb: 0.750 0.250 0.250
Pb: 0.750 0.250 0.750
Pb: 0.750 0.750 0.250
Pb: 0.750 0.750 0.750

Peak list (9 most intense, 5° ≤ 2θ ≤ 70°, in order of rising 2θ)
- (1 1 1), 2θ = 20.54°, intensity 8
- (2 0 0), 2θ = 23.76°, intensity 1
- (2 2 0), 2θ = 33.85°, intensity 100
- (3 1 1), 2θ = 39.92°, intensity 5
- (4 0 0), 2θ = 48.62°, intensity 18
- (3 3 1), 2θ = 53.31°, intensity 2
- (4 2 0), 2θ = 54.81°, intensity 1
- (4 2 2), 2θ = 60.56°, intensity 39
- (5 1 1), 2θ = 64.66°, intensity 2



Theoretical powder X-ray diffraction pattern
Compound: Rb4Pb
Radiation: Cu Kα (weighted mean of Kα1 and Kα2)
Structure: a crystal structure in Alexandria, relaxed with PBE

Crystal structure
Cell lengths 7.353, 7.353, 7.353 Å; angles 90.00, 90.00, 90.00 degrees
Fractional coordinates of all 5 atoms:
Rb: 0.000 0.000 0.000
Rb: 0.000 0.500 0.500
Rb: 0.500 0.000 0.500
Rb: 0.500 0.500 0.000
Pb: 0.500 0.500 0.500

Peak list (10 most intense, 5° ≤ 2θ ≤ 70°, in order of rising 2θ)
- (1 0 0), 2θ = 12.04°, intensity 64
- (1 1 0), 2θ = 17.05°, intensity 60
- (2 0 0), 2θ = 24.21°, intensity 100
- (2 1 0), 2θ = 27.12°, intensity 41
- (2 1 1), 2θ = 29.76°, intensity 32
- (2 2 0), 2θ = 34.50°, intensity 80
- (3 0 0), 2θ = 36.67°, intensity 24
- (2 2 2), 2θ = 42.60°, intensity 30
- (4 2 0), 2θ = 55.93°, intensity 40
- (4 2 2), 2θ = 61.82°, intensity 29